[1]
Diffraction record for Nd2HoTa2N6. The PXRD pattern is computed, not measured: it uses the PBE geometry in OQMD and Cu Kα.
Peak positions follow from Bragg's law for the DFT cell and can differ from measured ones.

Main lines, low angle first (10° ≤ 2θ ≤ 90°):
| 2theta | I (rel.) |
| --- | --- |
| 18.3 | 6 |
| 31.6 | 61 |
| 32.1 | 100 |
| 39.5 | 11 |
| 45.2 | 29 |
| 46.7 | 7 |
| 56.5 | 41 |
| 57.5 | 14 |
| 65.9 | 9 |
| 67.1 | 9 |
| 74.9 | 10 |
| 75.2 | 9 |

Atomic structure:
abc: 10.125 10.125 10.125
angles: 157.16 157.16 32.52
Atoms (fractional coordinates):
Nd1 0.180 0.180 0.000
Nd2 0.820 0.820 0.000
Ho1 0.000 0.000 0.000
Ta1 0.403 0.403 0.000
Ta2 0.597 0.597 0.000
N1 0.079 0.579 0.500
N2 0.302 0.302 0.000
N3 0.421 0.921 0.500
N4 0.579 0.079 0.500
N5 0.698 0.698 0.000
N6 0.921 0.421 0.500


[2]
Diffraction record for Ho3PN4O. The PXRD pattern is computed, not measured: it uses the PBE geometry in OQMD and Cu Kα.
Peak positions follow from Bragg's law for the DFT cell and can differ from measured ones.

Main lines, low angle first (10° ≤ 2θ ≤ 90°):
| 2theta | I (rel.) |
| --- | --- |
| 26.2 | 41 |
| 32.9 | 68 |
| 33.1 | 100 |
| 34.0 | 42 |
| 40.4 | 23 |
| 41.0 | 62 |
| 45.5 | 33 |
| 53.8 | 19 |
| 54.3 | 20 |
| 58.0 | 23 |
| 60.3 | 19 |
| 65.2 | 20 |

Atomic structure:
abc: 6.906 6.906 6.906
angles: 125.63 125.63 80.50
Atoms (fractional coordinates):
Ho1 0.175 0.675 0.850
Ho2 0.250 0.250 0.000
Ho3 0.325 0.175 0.500
Ho4 0.675 0.825 0.500
Ho5 0.750 0.750 0.000
Ho6 0.825 0.325 0.150
P1 0.250 0.750 0.500
P2 0.750 0.250 0.500
N1 0.008 0.793 0.500
N2 0.207 0.707 0.215
N3 0.293 0.508 0.500
N4 0.492 0.992 0.785
N5 0.508 0.008 0.215
N6 0.707 0.492 0.500
N7 0.793 0.293 0.785
N8 0.992 0.207 0.500
O1 0.000 0.000 0.000
O2 0.500 0.500 0.000


[3]
Diffraction record for HoPaNO. The PXRD pattern is computed, not measured: it uses the PBE geometry in OQMD and Cu Kα.
Peak positions follow from Bragg's law for the DFT cell and can differ from measured ones.

Main lines, low angle first (10° ≤ 2θ ≤ 90°):
| 2theta | I (rel.) |
| --- | --- |
| 26.0 | 46 |
| 31.0 | 63 |
| 31.4 | 100 |
| 35.1 | 37 |
| 44.2 | 22 |
| 45.2 | 35 |
| 46.2 | 17 |
| 56.7 | 24 |
| 58.5 | 32 |
| 59.3 | 16 |
| 60.7 | 17 |
| 74.3 | 17 |

Atomic structure:
abc: 3.929 6.995 5.110
angles: 90.00 90.00 90.00
Atoms (fractional coordinates):
Ho1 0.000 0.165 0.000
Ho2 0.000 0.835 0.500
Pa1 0.500 0.345 0.499
Pa2 0.500 0.655 0.999
N1 0.000 0.159 0.498
N2 0.000 0.841 0.998
O1 0.500 0.310 0.999
O2 0.500 0.690 0.499


[4]
Diffraction record for PmHoNO. The PXRD pattern is computed, not measured: it uses the PBE geometry in OQMD and Cu Kα.
Peak positions follow from Bragg's law for the DFT cell and can differ from measured ones.

Main lines, low angle first (10° ≤ 2θ ≤ 90°):
| 2theta | I (rel.) |
| --- | --- |
| 25.3 | 35 |
| 26.4 | 23 |
| 31.1 | 100 |
| 32.0 | 39 |
| 35.8 | 32 |
| 44.0 | 18 |
| 44.4 | 15 |
| 46.0 | 31 |
| 55.4 | 17 |
| 58.0 | 15 |
| 59.6 | 28 |
| 61.5 | 15 |

Atomic structure:
abc: 6.744 8.237 5.011
angles: 90.00 90.00 90.00
Atoms (fractional coordinates):
Pm1 0.080 0.129 0.000
Pm2 0.420 0.129 0.500
Pm3 0.580 0.871 0.000
Pm4 0.920 0.871 0.500
Ho1 0.073 0.620 0.000
Ho2 0.427 0.620 0.500
Ho3 0.573 0.380 0.000
Ho4 0.927 0.380 0.500
N1 0.063 0.134 0.499
N2 0.437 0.134 0.999
N3 0.563 0.866 0.499
N4 0.937 0.866 0.999
O1 0.097 0.618 0.502
O2 0.403 0.618 0.002
O3 0.597 0.382 0.502
O4 0.903 0.382 0.002


[5]
Diffraction record for PrHoNO. The PXRD pattern is computed, not measured: it uses the PBE geometry in OQMD and Cu Kα.
Peak positions follow from Bragg's law for the DFT cell and can differ from measured ones.

Main lines, low angle first (10° ≤ 2θ ≤ 90°):
| 2theta | I (rel.) |
| --- | --- |
| 25.3 | 43 |
| 31.1 | 100 |
| 36.0 | 22 |
| 44.5 | 42 |
| 44.6 | 12 |
| 55.3 | 21 |
| 58.6 | 31 |
| 61.7 | 15 |
| 73.6 | 7 |
| 73.7 | 11 |
| 79.2 | 8 |
| 82.2 | 6 |

Atomic structure:
abc: 4.992 4.061 7.048
angles: 90.00 90.00 90.00
Atoms (fractional coordinates):
Pr1 0.250 0.000 0.164
Pr2 0.750 0.000 0.836
Ho1 0.250 0.500 0.664
Ho2 0.750 0.500 0.336
N1 0.250 0.500 0.347
N2 0.750 0.500 0.653
O1 0.250 0.000 0.803
O2 0.750 0.000 0.197


[6]
Diffraction record for Ho3S2NO. The PXRD pattern is computed, not measured: it uses the PBE geometry in OQMD and Cu Kα.
Peak positions follow from Bragg's law for the DFT cell and can differ from measured ones.

Main lines, low angle first (10° ≤ 2θ ≤ 90°):
| 2theta | I (rel.) |
| --- | --- |
| 25.7 | 19 |
| 27.3 | 38 |
| 28.3 | 45 |
| 29.4 | 14 |
| 30.3 | 39 |
| 31.6 | 100 |
| 38.5 | 35 |
| 42.5 | 16 |
| 47.0 | 34 |
| 47.9 | 19 |
| 51.8 | 16 |
| 56.0 | 13 |

Atomic structure:
abc: 7.753 7.753 9.433
angles: 98.88 98.88 28.34
Atoms (fractional coordinates):
Ho1 0.050 0.050 0.264
Ho2 0.199 0.199 0.671
Ho3 0.389 0.389 0.055
Ho4 0.611 0.611 0.945
Ho5 0.801 0.801 0.329
Ho6 0.950 0.950 0.736
S1 0.214 0.214 0.153
S2 0.367 0.367 0.528
S3 0.633 0.633 0.472
S4 0.786 0.786 0.847
N1 0.097 0.097 0.807
N2 0.903 0.903 0.193
O1 0.461 0.461 0.860
O2 0.539 0.539 0.140


[7]
Diffraction record for SmHoNO. The PXRD pattern is computed, not measured: it uses the PBE geometry in OQMD and Cu Kα.
Peak positions follow from Bragg's law for the DFT cell and can differ from measured ones.

Main lines, low angle first (10° ≤ 2θ ≤ 90°):
| 2theta | I (rel.) |
| --- | --- |
| 25.6 | 42 |
| 31.5 | 100 |
| 36.5 | 22 |
| 45.2 | 54 |
| 56.1 | 14 |
| 56.2 | 7 |
| 59.5 | 31 |
| 62.6 | 15 |
| 74.8 | 6 |
| 74.9 | 12 |
| 80.6 | 8 |
| 83.4 | 9 |

Atomic structure:
abc: 4.920 4.016 6.939
angles: 90.00 90.00 90.00
Atoms (fractional coordinates):
Sm1 0.250 0.000 0.164
Sm2 0.750 0.000 0.836
Ho1 0.250 0.500 0.667
Ho2 0.750 0.500 0.333
N1 0.250 0.500 0.343
N2 0.750 0.500 0.657
O1 0.250 0.000 0.812
O2 0.750 0.000 0.188


[8]
Diffraction record for SmHoNO. The PXRD pattern is computed, not measured: it uses the PBE geometry in OQMD and Cu Kα.
Peak positions follow from Bragg's law for the DFT cell and can differ from measured ones.

Main lines, low angle first (10° ≤ 2θ ≤ 90°):
| 2theta | I (rel.) |
| --- | --- |
| 25.6 | 42 |
| 31.4 | 100 |
| 36.2 | 23 |
| 44.9 | 18 |
| 45.2 | 36 |
| 56.1 | 20 |
| 59.3 | 31 |
| 62.2 | 15 |
| 65.6 | 6 |
| 74.8 | 12 |
| 74.9 | 6 |
| 80.1 | 8 |

Atomic structure:
abc: 4.961 4.006 6.954
angles: 90.00 90.00 90.00
Atoms (fractional coordinates):
Sm1 0.250 0.000 0.163
Sm2 0.750 0.000 0.837
Ho1 0.250 0.500 0.670
Ho2 0.750 0.500 0.330
N1 0.250 0.000 0.825
N2 0.750 0.000 0.175
O1 0.250 0.500 0.345
O2 0.750 0.500 0.655


[9]
Diffraction record for HoTmNO. The PXRD pattern is computed, not measured: it uses the PBE geometry in OQMD and Cu Kα.
Peak positions follow from Bragg's law for the DFT cell and can differ from measured ones.

Main lines, low angle first (10° ≤ 2θ ≤ 90°):
| 2theta | I (rel.) |
| --- | --- |
| 26.2 | 42 |
| 32.3 | 100 |
| 37.6 | 21 |
| 46.3 | 35 |
| 46.4 | 18 |
| 57.6 | 20 |
| 61.1 | 30 |
| 64.5 | 15 |
| 76.8 | 12 |
| 77.0 | 6 |
| 83.0 | 7 |
| 85.9 | 8 |

Atomic structure:
abc: 4.789 3.918 6.802
angles: 90.00 90.00 90.00
Atoms (fractional coordinates):
Ho1 0.250 0.000 0.164
Ho2 0.750 0.000 0.836
Tm1 0.250 0.500 0.667
Tm2 0.750 0.500 0.333
N1 0.250 0.500 0.338
N2 0.750 0.500 0.662
O1 0.250 0.000 0.820
O2 0.750 0.000 0.180


[10]
Diffraction record for HoZrNO. The PXRD pattern is computed, not measured: it uses the PBE geometry in OQMD and Cu Kα.
Peak positions follow from Bragg's law for the DFT cell and can differ from measured ones.

Main lines, low angle first (10° ≤ 2θ ≤ 90°):
| 2theta | I (rel.) |
| --- | --- |
| 23.2 | 18 |
| 26.5 | 21 |
| 26.7 | 53 |
| 32.8 | 56 |
| 33.0 | 100 |
| 38.6 | 36 |
| 46.9 | 40 |
| 47.3 | 20 |
| 47.6 | 21 |
| 58.8 | 22 |
| 62.3 | 33 |
| 62.6 | 17 |

Atomic structure:
abc: 4.666 3.844 6.730
angles: 90.00 90.00 90.00
Atoms (fractional coordinates):
Ho1 0.250 0.000 0.164
Ho2 0.750 0.000 0.836
Zr1 0.250 0.500 0.660
Zr2 0.750 0.500 0.340
N1 0.250 0.500 0.348
N2 0.750 0.500 0.652
O1 0.250 0.000 0.818
O2 0.750 0.000 0.182


[11]
Diffraction record for Ho2P3N7. The PXRD pattern is computed, not measured: it uses the PBE geometry in OQMD and Cu Kα.
Peak positions follow from Bragg's law for the DFT cell and can differ from measured ones.

Main lines, low angle first (10° ≤ 2θ ≤ 90°):
| 2theta | I (rel.) |
| --- | --- |
| 17.8 | 26 |
| 24.8 | 14 |
| 27.1 | 27 |
| 30.2 | 20 |
| 32.7 | 100 |
| 36.1 | 13 |
| 38.8 | 17 |
| 45.7 | 24 |
| 54.0 | 16 |
| 54.7 | 14 |
| 62.7 | 15 |
| 71.7 | 14 |

Atomic structure:
abc: 7.346 7.346 4.981
angles: 90.00 90.00 90.00
Atoms (fractional coordinates):
Ho1 0.161 0.339 0.489
Ho2 0.339 0.839 0.511
Ho3 0.661 0.161 0.511
Ho4 0.839 0.661 0.489
P1 0.000 0.000 0.000
P2 0.142 0.642 0.968
P3 0.358 0.142 0.032
P4 0.500 0.500 0.000
P5 0.642 0.858 0.032
P6 0.858 0.358 0.968
N1 0.000 0.500 0.826
N2 0.083 0.837 0.809
N3 0.142 0.642 0.284
N4 0.163 0.083 0.191
N5 0.337 0.583 0.809
N6 0.358 0.142 0.716
N7 0.417 0.337 0.191
N8 0.500 0.000 0.174
N9 0.583 0.663 0.191
N10 0.642 0.858 0.716
N11 0.663 0.417 0.809
N12 0.837 0.917 0.191
N13 0.858 0.358 0.284
N14 0.917 0.163 0.809


[12]
Diffraction record for Ho2PaN4. The PXRD pattern is computed, not measured: it uses the PBE geometry in OQMD and Cu Kα.
Peak positions follow from Bragg's law for the DFT cell and can differ from measured ones.

Main lines, low angle first (10° ≤ 2θ ≤ 90°):
| 2theta | I (rel.) |
| --- | --- |
| 30.7 | 34 |
| 30.9 | 100 |
| 31.2 | 49 |
| 31.6 | 93 |
| 41.1 | 17 |
| 44.3 | 44 |
| 45.3 | 14 |
| 51.5 | 16 |
| 55.7 | 14 |
| 56.3 | 29 |
| 61.1 | 14 |
| 61.7 | 29 |

Atomic structure:
abc: 5.831 9.702 3.552
angles: 90.00 90.00 90.00
Atoms (fractional coordinates):
Ho1 0.060 0.175 0.000
Ho2 0.440 0.675 0.000
Ho3 0.560 0.325 0.000
Ho4 0.940 0.825 0.000
Pa1 0.000 0.500 0.500
Pa2 0.500 0.000 0.500
N1 0.157 0.703 0.500
N2 0.240 0.460 0.000
N3 0.260 0.960 0.000
N4 0.343 0.203 0.500
N5 0.657 0.797 0.500
N6 0.740 0.040 0.000
N7 0.760 0.540 0.000
N8 0.843 0.297 0.500